This entry pairs a crystal structure of Li2VOF3 with its simulated PXRD pattern. Radiation: Cu Kα, 1.54184 Å. Structure: a DFT-relaxed cell (PBE+U, Alexandria).
Neutral-atom scattering factors, no anomalous dispersion.

Cell and atoms:
a = 5.7000 Å, b = 5.7000 Å, c = 5.2227 Å
α = 90.32°, β = 90.32°, γ = 62.08°
Atoms (fractional coordinates):
Li (0.0875, 0.5004, 0.4828)
Li (0.1936, 0.1936, 0.0058)
Li (0.4996, 0.9125, 0.5172)
Li (0.8064, 0.8064, 0.9942)
V (0.5370, 0.4630, 0.0000)
V (0.7990, 0.2010, 0.5000)
O (0.6389, 0.1423, 0.1930)
O (0.8577, 0.3611, 0.8070)
F (0.1545, 0.1194, 0.3625)
F (0.1561, 0.5836, 0.1353)
F (0.4164, 0.8439, 0.8647)
F (0.4210, 0.3243, 0.6760)
F (0.6757, 0.5790, 0.3240)
F (0.8806, 0.8455, 0.6375)

Main lines, sorted by position (2θ = 5–70°):
17.61 deg, I 90.8
18.17 deg, I 50.5
24.56 deg, I 100.0
31.41 deg, I 27.6
39.23 deg, I 43.5
39.68 deg, I 83.0